# 1
Calculated powder X-ray diffraction pattern of AlBi3F15 for Cu Kα X-rays, from a structure optimized by DFT (PBE).

Largest 8 diffraction maxima, sorted by position, 10° ≤ 2θ ≤ 90°:
16.0 deg, d 5.535, I = 100; 16.1 deg, d 5.512, I = 68; 22.8 deg, d 3.905, I = 83; 25.1 deg, d 3.553, I = 38; 25.6 deg, d 3.475, I = 21; 25.9 deg, d 3.440, I = 31; 29.9 deg, d 2.986, I = 27; 30.6 deg, d 2.918, I = 25

Cell and atoms:
a b c (Å): 5.7465 11.0233 11.0128
angles (deg): 90.00 104.57 90.00
Positions (direct):
Al  0.2429  0.2500  0.2534
Al  0.7571  0.7500  0.7466
Bi  0.1191  0.0537  0.6639
Bi  0.1191  0.4463  0.6639
Bi  0.5000  0.0000  0.0000
Bi  0.5000  0.5000  0.0000
Bi  0.8809  0.5537  0.3361
Bi  0.8809  0.9463  0.3361
F  0.0258  0.2500  0.6816
F  0.0941  0.1189  0.2810
F  0.0941  0.3811  0.2810
F  0.1314  0.5918  0.5213
F  0.1314  0.9082  0.5213
F  0.2188  0.2500  0.0974
F  0.2413  0.1156  0.8923
F  0.2413  0.3844  0.8923
F  0.2418  0.5988  0.0480
F  0.2418  0.9012  0.0480
F  0.4222  0.5798  0.8212
F  0.4222  0.9202  0.8212
F  0.4327  0.1103  0.6245
F  0.4327  0.3897  0.6245
F  0.4918  0.7500  0.6421
F  0.5082  0.2500  0.3579
F  0.5673  0.6103  0.3755
F  0.5673  0.8897  0.3755
F  0.5778  0.0798  0.1788
F  0.5778  0.4202  0.1788
F  0.7582  0.0988  0.9520
F  0.7582  0.4012  0.9520
F  0.7587  0.6156  0.1077
F  0.7587  0.8844  0.1077
F  0.7812  0.7500  0.9026
F  0.8686  0.0918  0.4787
F  0.8686  0.4082  0.4787
F  0.9059  0.6189  0.7190
F  0.9059  0.8811  0.7190
F  0.9742  0.7500  0.3184

=====

# 2
Calculated powder X-ray diffraction pattern of ZnSb2Xe6F24 for Cu Kα X-rays, from a structure optimized by DFT (PBE).

Largest 8 diffraction maxima, sorted by position, 10° ≤ 2θ ≤ 90°:
20.7 deg, d 4.294, I = 21; 21.3 deg, d 4.179, I = 97; 23.2 deg, d 3.841, I = 34; 25.2 deg, d 3.539, I = 100; 34.6 deg, d 2.589, I = 20; 37.1 deg, d 2.424, I = 32; 42.1 deg, d 2.147, I = 25; 44.2 deg, d 2.050, I = 16

Cell and atoms:
a b c (Å): 9.7345 9.7345 9.7345
angles (deg): 64.27 64.27 64.27
Positions (direct):
Zn  0.0000  0.0000  0.0000
Sb  0.2527  0.2527  0.2527
Sb  0.7473  0.7473  0.7473
Xe  0.2196  0.2995  0.7335
Xe  0.2665  0.7804  0.7005
Xe  0.2995  0.7335  0.2196
Xe  0.7005  0.2665  0.7804
Xe  0.7335  0.2196  0.2995
Xe  0.7804  0.7005  0.2665
F  0.0603  0.8812  0.2078
F  0.1009  0.1340  0.3790
F  0.1188  0.7922  0.9397
F  0.1294  0.4092  0.3668
F  0.1340  0.3790  0.1009
F  0.2078  0.0603  0.8812
F  0.2359  0.5213  0.5931
F  0.3668  0.1294  0.4092
F  0.3790  0.1009  0.1340
F  0.4069  0.7641  0.4787
F  0.4092  0.3668  0.1294
F  0.4787  0.4069  0.7641
F  0.5213  0.5931  0.2359
F  0.5908  0.6332  0.8706
F  0.5931  0.2359  0.5213
F  0.6210  0.8991  0.8660
F  0.6332  0.8706  0.5908
F  0.7641  0.4787  0.4069
F  0.7922  0.9397  0.1188
F  0.8660  0.6210  0.8991
F  0.8706  0.5908  0.6332
F  0.8812  0.2078  0.0603
F  0.8991  0.8660  0.6210
F  0.9397  0.1188  0.7922

=====

# 3
Calculated powder X-ray diffraction pattern of MgCu2Ge2O6 for Cu Kα X-rays, from a structure optimized by DFT (PBE).

Largest 8 diffraction maxima, sorted by position, 10° ≤ 2θ ≤ 90°:
19.5 deg, d 4.541, I = 39; 26.0 deg, d 3.431, I = 100; 33.5 deg, d 2.674, I = 53; 34.1 deg, d 2.630, I = 17; 35.0 deg, d 2.563, I = 51; 45.3 deg, d 2.001, I = 19; 49.7 deg, d 1.835, I = 16; 54.9 deg, d 1.671, I = 22

Cell and atoms:
a b c (Å): 3.1050 9.0545 5.2597
angles (deg): 90.00 90.00 90.00
Positions (direct):
Mg  0.0000  0.0000  0.0000
Cu  0.0000  0.3059  0.9988
Cu  0.0000  0.6941  0.9988
Ge  0.5000  0.0000  0.5705
Ge  0.5000  0.5000  0.4126
O  0.0000  0.0000  0.3750
O  0.0000  0.5000  0.6064
O  0.5000  0.1393  0.8251
O  0.5000  0.3406  0.2164
O  0.5000  0.6594  0.2164
O  0.5000  0.8607  0.8251

=====

# 4
Calculated powder X-ray diffraction pattern of MnSiRh for Cu Kα X-rays, from a structure optimized by DFT (PBE).

Largest 8 diffraction maxima, sorted by position, 10° ≤ 2θ ≤ 90°:
30.3 deg, d 2.948, I = 74; 37.3 deg, d 2.411, I = 91; 38.1 deg, d 2.360, I = 73; 40.2 deg, d 2.244, I = 100; 44.3 deg, d 2.045, I = 70; 47.1 deg, d 1.928, I = 48; 47.5 deg, d 1.913, I = 56; 69.2 deg, d 1.358, I = 41

Cell and atoms:
a b c (Å): 5.9981 3.8259 7.2568
angles (deg): 90.00 90.00 90.00
Positions (direct):
Mn  0.0304  0.2500  0.1812
Mn  0.4696  0.7500  0.6812
Mn  0.5304  0.2500  0.3188
Mn  0.9696  0.7500  0.8188
Si  0.2359  0.7500  0.3777
Si  0.2641  0.2500  0.8777
Si  0.7359  0.7500  0.1223
Si  0.7641  0.2500  0.6223
Rh  0.1617  0.2500  0.5639
Rh  0.3383  0.7500  0.0639
Rh  0.6617  0.2500  0.9361
Rh  0.8383  0.7500  0.4361

=====

# 5
Calculated powder X-ray diffraction pattern of Sb2XeF14 for Cu Kα X-rays, from a structure optimized by DFT (PBE).

Largest 8 diffraction maxima, sorted by position, 10° ≤ 2θ ≤ 90°:
19.3 deg, d 4.610, I = 91; 19.9 deg, d 4.472, I = 100; 21.2 deg, d 4.188, I = 34; 22.7 deg, d 3.909, I = 55; 23.4 deg, d 3.800, I = 60; 24.1 deg, d 3.686, I = 26; 24.5 deg, d 3.629, I = 68; 25.5 deg, d 3.487, I = 40

Cell and atoms:
a b c (Å): 8.2290 8.4952 9.8140
angles (deg): 67.39 89.53 67.84
Positions (direct):
Sb  0.0090  0.1652  0.2084
Sb  0.2942  0.1307  0.7293
Sb  0.7058  0.8693  0.2707
Sb  0.9910  0.8348  0.7916
Xe  0.3077  0.5533  0.2411
Xe  0.6923  0.4467  0.7589
F  0.0895  0.2686  0.7943
F  0.1360  0.9793  0.1393
F  0.1446  0.3077  0.1304
F  0.1492  0.0223  0.3995
F  0.1488  0.9772  0.7168
F  0.1510  0.7105  0.9858
F  0.1547  0.6536  0.7357
F  0.1829  0.2910  0.5278
F  0.2191  0.6460  0.3977
F  0.3778  0.9479  0.9284
F  0.4217  0.2718  0.7412
F  0.4573  0.4095  0.1333
F  0.4756  0.9766  0.6608
F  0.4954  0.6285  0.5943
F  0.5046  0.3715  0.4057
F  0.5244  0.0234  0.3392
F  0.5427  0.5905  0.8667
F  0.5783  0.7282  0.2588
F  0.6222  0.0521  0.0716
F  0.7809  0.3540  0.6023
F  0.8171  0.7090  0.4722
F  0.8453  0.3464  0.2643
F  0.8490  0.2895  0.0142
F  0.8512  0.0228  0.2832
F  0.8508  0.9777  0.6005
F  0.8554  0.6923  0.8696
F  0.8640  0.0207  0.8607
F  0.9105  0.7314  0.2057

=====

# 6
Calculated powder X-ray diffraction pattern of Pr5Ge3 for Cu Kα X-rays, from a structure optimized by DFT (PBE).

Largest 8 diffraction maxima, sorted by position, 10° ≤ 2θ ≤ 90°:
28.7 deg, d 3.114, I = 31; 30.6 deg, d 2.922, I = 38; 33.1 deg, d 2.706, I = 93; 33.4 deg, d 2.685, I = 100; 34.8 deg, d 2.577, I = 45; 48.8 deg, d 1.866, I = 25; 51.0 deg, d 1.792, I = 30; 54.6 deg, d 1.680, I = 21

Cell and atoms:
a b c (Å): 8.9255 8.9255 6.8040
angles (deg): 90.00 90.00 120.00
Positions (direct):
Pr  0.0000  0.2458  0.2500
Pr  0.0000  0.7542  0.7500
Pr  0.2458  0.0000  0.2500
Pr  0.2458  0.2458  0.7500
Pr  0.3333  0.6667  0.0000
Pr  0.3333  0.6667  0.5000
Pr  0.6667  0.3333  0.0000
Pr  0.6667  0.3333  0.5000
Pr  0.7542  0.0000  0.7500
Pr  0.7542  0.7542  0.2500
Ge  0.0000  0.3924  0.7500
Ge  0.0000  0.6076  0.2500
Ge  0.3924  0.0000  0.7500
Ge  0.3924  0.3924  0.2500
Ge  0.6076  0.0000  0.2500
Ge  0.6076  0.6076  0.7500